Structure and simulated powder diffractogram of Pm2Ga3Ni5 (a structure optimized by DFT (PBE); Cu Kα X-rays).

Cell lengths 8.1695, 8.1695, 8.1695 Å; angles 104.97, 89.03, 139.33 degrees
Atoms (fractional coordinates):
Pm 0.1283 0.2346 0.3629
Pm 0.3717 0.7346 0.1063
Pm 0.6283 0.2654 0.8937
Pm 0.8717 0.7654 0.6371
Ga 0.1400 0.8974 0.0374
Ga 0.2500 0.7500 0.5000
Ga 0.3600 0.3974 0.7575
Ga 0.6400 0.6026 0.2425
Ga 0.7500 0.2500 0.5000
Ga 0.8600 0.1026 0.9626
Ni 0.0332 0.7500 0.2832
Ni 0.1123 0.6577 0.7700
Ni 0.2500 0.2500 0.0000
Ni 0.3877 0.1577 0.5454
Ni 0.4668 0.7500 0.7168
Ni 0.5332 0.2500 0.2832
Ni 0.6123 0.8423 0.4546
Ni 0.7500 0.7500 0.0000
Ni 0.8877 0.3423 0.2300
Ni 0.9668 0.2500 0.7168

Most intense lines, 2θ = 15–90°, sorted by position:
30.70°, rel. 20; 34.91°, rel. 100; 35.72°, rel. 68; 36.44°, rel. 75; 40.35°, rel. 23; 44.57°, rel. 79; 51.10°, rel. 27; 57.33°, rel. 21; 58.32°, rel. 23; 75.85°, rel. 19

=====

Structure and simulated powder diffractogram of Ho6AgPd2 (a structure optimized by DFT (PBE); Cu Kα X-rays).

Cell lengths 8.4516, 8.4516, 8.4516 Å; angles 112.12, 110.84, 105.52 degrees
Atoms (fractional coordinates):
Ho 0.0499 0.2411 0.8088
Ho 0.1800 0.2825 0.4625
Ho 0.1800 0.7175 0.8975
Ho 0.3278 0.0290 0.7012
Ho 0.3278 0.6267 0.2988
Ho 0.4323 0.2411 0.1912
Ho 0.5677 0.7589 0.8088
Ho 0.6722 0.3733 0.7012
Ho 0.6722 0.9710 0.2988
Ho 0.8200 0.2825 0.1025
Ho 0.8200 0.7175 0.5375
Ho 0.9501 0.7589 0.1912
Ag 0.0000 0.0000 0.0000
Ag 0.5000 0.5000 0.0000
Pd 0.1329 0.6329 0.5000
Pd 0.3420 0.0000 0.3420
Pd 0.6580 0.0000 0.6580
Pd 0.8671 0.3671 0.5000

Most intense lines, 2θ = 15–90°, sorted by position:
29.89°, rel. 23; 31.84°, rel. 100; 33.75°, rel. 66; 34.42°, rel. 82; 35.03°, rel. 83; 35.23°, rel. 26; 38.14°, rel. 37; 38.95°, rel. 25; 39.95°, rel. 24; 59.69°, rel. 38

=====

Structure and simulated powder diffractogram of Cs2SrTeCl6 (a structure optimized by DFT (PBE); Cu Kα X-rays).

Cell lengths 8.0945, 8.0945, 8.0945 Å; angles 117.04, 117.04, 95.21 degrees
Atoms (fractional coordinates):
Cs 0.2500 0.7500 0.5000
Cs 0.7500 0.2500 0.5000
Sr 0.0000 0.0000 0.0000
Te 0.5000 0.5000 0.0000
Cl 0.2372 0.2372 0.4743
Cl 0.2372 0.7628 0.0000
Cl 0.2666 0.2666 0.0000
Cl 0.7334 0.7334 0.0000
Cl 0.7628 0.2372 0.0000
Cl 0.7628 0.7628 0.5257

Most intense lines, 2θ = 15–90°, sorted by position:
21.02°, rel. 56; 22.05°, rel. 100; 26.67°, rel. 28; 29.89°, rel. 69; 32.82°, rel. 28; 37.46°, rel. 51; 39.30°, rel. 22; 42.79°, rel. 25; 44.98°, rel. 42; 54.95°, rel. 25

=====

Structure and simulated powder diffractogram of NaTl5InHg2 (a structure optimized by DFT (PBE); Cu Kα X-rays).

Cell lengths 8.6787, 8.6787, 17.1966 Å; angles 90.00, 90.00, 156.25 degrees
Atoms (fractional coordinates):
Na 0.0564 0.9436 0.5000
Na 0.9436 0.0564 0.0000
Tl 0.0680 0.9320 0.1677
Tl 0.1034 0.8966 0.8491
Tl 0.2224 0.7776 0.3856
Tl 0.2674 0.7326 0.7138
Tl 0.4011 0.5989 0.1752
Tl 0.5989 0.4011 0.6752
Tl 0.7326 0.2674 0.2138
Tl 0.7776 0.2224 0.8856
Tl 0.8966 0.1034 0.3491
Tl 0.9320 0.0680 0.6677
In 0.2613 0.7387 0.0468
In 0.7387 0.2613 0.5468
Hg 0.3949 0.6051 0.5121
Hg 0.4373 0.5627 0.8355
Hg 0.5627 0.4373 0.3355
Hg 0.6051 0.3949 0.0121

Most intense lines, 2θ = 15–90°, sorted by position:
29.97°, rel. 15; 31.21°, rel. 21; 31.60°, rel. 21; 32.04°, rel. 17; 32.99°, rel. 18; 33.53°, rel. 100; 51.15°, rel. 10; 54.75°, rel. 12; 56.15°, rel. 12; 61.40°, rel. 12

=====

Structure and simulated powder diffractogram of Pr2Er2In3 (a structure optimized by DFT (PBE); Cu Kα X-rays).

Cell lengths 12.7072, 12.7072, 3.4560 Å; angles 90.00, 90.00, 158.83 degrees
Atoms (fractional coordinates):
Pr 0.0729 0.9271 0.0000
Pr 0.9271 0.0729 0.0000
Er 0.2047 0.7953 0.0000
Er 0.7953 0.2047 0.0000
In 0.3470 0.6530 0.5000
In 0.5000 0.5000 0.5000
In 0.6530 0.3470 0.5000

Most intense lines, 2θ = 15–90°, sorted by position:
31.55°, rel. 100; 32.43°, rel. 80; 33.70°, rel. 29; 34.02°, rel. 18; 38.56°, rel. 32; 38.87°, rel. 26; 55.91°, rel. 18; 62.99°, rel. 27; 65.38°, rel. 22; 65.91°, rel. 22

=====

Structure and simulated powder diffractogram of Dy12Ho7Al (a structure optimized by DFT (PBE); Cu Kα X-rays).

Cell lengths 8.6176, 8.6176, 8.6176 Å; angles 99.35, 99.35, 99.35 degrees
Atoms (fractional coordinates):
Dy 0.0000 0.2531 0.7469
Dy 0.0000 0.7469 0.2531
Dy 0.1648 0.5965 0.5965
Dy 0.2531 0.0000 0.7469
Dy 0.2531 0.7469 0.0000
Dy 0.4035 0.4035 0.8352
Dy 0.4035 0.8352 0.4035
Dy 0.5965 0.1648 0.5965
Dy 0.5965 0.5965 0.1648
Dy 0.7469 0.0000 0.2531
Dy 0.7469 0.2531 0.0000
Dy 0.8352 0.4035 0.4035
Ho 0.1429 0.1429 0.4112
Ho 0.1429 0.4112 0.1429
Ho 0.4112 0.1429 0.1429
Ho 0.5000 0.5000 0.5000
Ho 0.5888 0.8571 0.8571
Ho 0.8571 0.5888 0.8571
Ho 0.8571 0.8571 0.5888
Al 0.0000 0.0000 0.0000

Most intense lines, 2θ = 15–90°, sorted by position:
29.22°, rel. 25; 30.19°, rel. 52; 31.89°, rel. 65; 32.19°, rel. 68; 32.30°, rel. 100; 34.76°, rel. 37; 35.04°, rel. 24; 35.14°, rel. 28; 55.98°, rel. 24; 57.73°, rel. 25